No. 1
# Sm3GaCoSe7
Simulated powder diffractogram, a wavelength of 1.5418 Å. Input: a cell relaxed with PBE.
Peak positions follow from Bragg's law for the DFT cell and can differ from measured ones.

Cell and atoms:
```
data_Sm3GaCoSe7
_chemical_formula_sum 'Sm6 Ga2 Co2 Se14'
_symmetry_space_group_name_H-M 'P 63'
_symmetry_Int_Tables_number 173
_cell_length_a 10.1072
_cell_length_b 10.1072
_cell_length_c 6.5573
_cell_angle_alpha 90.00
_cell_angle_beta 90.00
_cell_angle_gamma 120.00
loop_
_symmetry_equiv_pos_as_xyz
'x,y,z'
'x-y,x,z+1/2'
'-y,x-y,z'
'-x,-y,z+1/2'
'-x+y,-x,z'
'y,-x+y,z+1/2'
loop_
_atom_site_label
_atom_site_fract_x
_atom_site_fract_y
_atom_site_fract_z
Sm1 0.1634 0.7896 0.0000
Ga1 0.3333 0.6667 0.4200
Co1 0.0000 0.0000 0.3425
Se1 0.0813 0.5227 0.2724
Se2 0.0994 0.8763 0.5962
Se3 0.3333 0.6667 0.7873
```

The 12 most intense peaks (10 to 90 degrees two-theta), low angle first:
(1 0 1), d = 5.248 Å, 16.89°, I = 28; (2 0 1), d = 3.640 Å, 24.45°, I = 100; (1 0 2), d = 3.070 Å, 29.08°, I = 28; (2 1 1), d = 2.954 Å, 30.26°, I = 73; (3 0 1), d = 2.666 Å, 33.62°, I = 85; (2 0 2), d = 2.624 Å, 34.17°, I = 85; (2 2 0), d = 2.527 Å, 35.53°, I = 88; (2 1 2), d = 2.329 Å, 38.66°, I = 43; (1 3 1), d = 2.277 Å, 39.59°, I = 32; (4 0 1), d = 2.076 Å, 43.60°, I = 40; (2 0 3), d = 1.955 Å, 46.44°, I = 50; (4 3 2), d = 1.318 Å, 71.60°, I = 27

***

No. 2
# Ga3Co3Si
Simulated powder diffractogram, a wavelength of 1.5418 Å. Input: a cell relaxed with PBE.
Peak positions follow from Bragg's law for the DFT cell and can differ from measured ones.

Cell and atoms:
```
data_Ga3Co3Si
_chemical_formula_sum 'Ga9 Co9 Si3'
_symmetry_space_group_name_H-M 'R -3 m'
_symmetry_Int_Tables_number 166
_symmetry_space_group_name_Hall '-R 3 2"'
_cell_length_a 7.9223
_cell_length_b 7.9223
_cell_length_c 4.9960
_cell_angle_alpha 90.00
_cell_angle_beta 90.00
_cell_angle_gamma 120.00
loop_
_atom_site_label
_atom_site_fract_x
_atom_site_fract_y
_atom_site_fract_z
Ga1 0.0000 0.5000 0.0000
Co1 0.0000 0.5000 0.5000
Si1 0.0000 0.0000 0.0000
```

The 12 most intense peaks (10 to 90 degrees two-theta), low angle first:
(1 1 0), d = 3.961 Å, 22.45°, I = 38; (0 2 1), d = 2.828 Å, 31.64°, I = 5; (0 1 2), d = 2.347 Å, 38.35°, I = 10; (3 0 0), d = 2.287 Å, 39.40°, I = 9; (2 0 2), d = 2.019 Å, 44.89°, I = 100; (2 2 0), d = 1.981 Å, 45.81°, I = 94; (1 2 2), d = 1.799 Å, 50.75°, I = 8; (3 1 2), d = 1.514 Å, 61.23°, I = 5; (0 4 2), d = 1.414 Å, 66.08°, I = 30; (0 2 4), d = 1.174 Å, 82.12°, I = 16; (4 2 2), d = 1.151 Å, 84.12°, I = 29; (6 0 0), d = 1.143 Å, 84.78°, I = 14

***

No. 3
# GaCo3Si2
Simulated powder diffractogram, a wavelength of 1.5418 Å. Input: a cell relaxed with PBE.
Peak positions follow from Bragg's law for the DFT cell and can differ from measured ones.

Cell and atoms:
```
data_GaCo3Si2
_chemical_formula_sum 'Ga1 Co3 Si2'
_symmetry_space_group_name_H-M 'P 4/m m m'
_symmetry_Int_Tables_number 123
_symmetry_space_group_name_Hall '-P 4 2'
_cell_length_a 2.7253
_cell_length_b 2.7253
_cell_length_c 9.0460
_cell_angle_alpha 90.00
_cell_angle_beta 90.00
_cell_angle_gamma 90.00
loop_
_atom_site_label
_atom_site_fract_x
_atom_site_fract_y
_atom_site_fract_z
Ga1 0.0000 0.0000 0.0000
Co1 0.5000 0.5000 0.1940
Co2 0.5000 0.5000 0.5000
Si1 0.0000 0.0000 0.3395
```

The 12 most intense peaks (10 to 90 degrees two-theta), low angle first:
(1 0 0), d = 2.725 Å, 32.86°, I = 4; (1 0 1), d = 2.609 Å, 34.37°, I = 9; (1 0 2), d = 2.334 Å, 38.57°, I = 12; (0 0 4), d = 2.262 Å, 39.86°, I = 6; (1 0 3), d = 2.022 Å, 44.83°, I = 100; (1 1 0), d = 1.927 Å, 47.16°, I = 48; (0 0 6), d = 1.508 Å, 61.51°, I = 7; (1 1 4), d = 1.467 Å, 63.42°, I = 5; (2 0 0), d = 1.363 Å, 68.91°, I = 14; (1 1 6), d = 1.187 Å, 80.97°, I = 12; (1 0 7), d = 1.167 Å, 82.65°, I = 7; (2 1 3), d = 1.130 Å, 86.04°, I = 28

***

No. 4
# Th2GaCo4Si3
Simulated powder diffractogram, a wavelength of 1.5418 Å. Input: a cell relaxed with PBE.
Peak positions follow from Bragg's law for the DFT cell and can differ from measured ones.

Cell and atoms:
```
data_Th2GaCo4Si3
_chemical_formula_sum 'Th2 Ga1 Co4 Si3'
_symmetry_space_group_name_H-M 'P -4 m 2'
_symmetry_Int_Tables_number 115
_cell_length_a 4.0204
_cell_length_b 4.0204
_cell_length_c 9.7757
_cell_angle_alpha 90.00
_cell_angle_beta 90.00
_cell_angle_gamma 90.00
loop_
_symmetry_equiv_pos_as_xyz
'x,y,z'
'y,-x,-z'
'-x,-y,z'
'-y,x,-z'
'-x,y,z'
'-y,-x,-z'
'x,-y,z'
'y,x,-z'
loop_
_atom_site_label
_atom_site_fract_x
_atom_site_fract_y
_atom_site_fract_z
Th1 0.0000 0.5000 0.2504
Ga1 0.0000 0.0000 0.5000
Co1 0.0000 0.0000 0.0000
Co2 0.0000 0.5000 0.6386
Co3 0.5000 0.5000 0.0000
Si1 0.0000 0.5000 0.8767
Si2 0.5000 0.5000 0.5000
```

The 12 most intense peaks (10 to 90 degrees two-theta), low angle first:
(0 0 2), d = 4.888 Å, 18.15°, I = 15; (1 0 1), d = 3.718 Å, 23.93°, I = 58; (1 1 0), d = 2.843 Å, 31.47°, I = 25; (1 0 3), d = 2.531 Å, 35.46°, I = 69; (1 1 2), d = 2.457 Å, 36.57°, I = 100; (2 0 0), d = 2.010 Å, 45.10°, I = 42; (2 1 1), d = 1.768 Å, 51.69°, I = 16; (1 0 5), d = 1.758 Å, 52.01°, I = 28; (2 1 3), d = 1.574 Å, 58.64°, I = 33; (1 1 6), d = 1.414 Å, 66.10°, I = 14; (2 1 5), d = 1.323 Å, 71.26°, I = 22; (3 1 2), d = 1.230 Å, 77.59°, I = 22